Record 1
For Pm3Np2S8, a GGA-PBE-relaxed structure gives the calculated PXRD pattern in this record (Cu Ka).
Peak positions follow from Bragg's law for the DFT cell and can differ from measured ones.

Unit cell a=8.3224 b=8.3224 c=4.6755 alpha=90.00 beta=90.00 gamma=108.67
Element x y z (fractional)
Pm  0.0000  0.0000  0.0000
Pm  0.2847  0.2847  0.5000
Pm  0.7153  0.7153  0.5000
Np  0.2617  0.7383  0.0000
Np  0.7383  0.2617  0.0000
S  0.1156  0.3696  0.0000
S  0.1234  0.8766  0.5000
S  0.3681  0.6319  0.5000
S  0.3696  0.1156  0.0000
S  0.6304  0.8844  0.0000
S  0.6319  0.3681  0.5000
S  0.8766  0.1234  0.5000
S  0.8844  0.6304  0.0000

The 8 most intense peaks (2θ from 10° to 90°), in order of rising 2θ:
2θ (°), I/Imax
22.55, 50
23.13, 51
26.36, 19
26.47, 36
37.05, 24
37.71, 100
38.51, 26
69.14, 17



Record 2
For Te2SeI3, a GGA-PBE-relaxed structure gives the calculated PXRD pattern in this record (Cu Ka).
Peak positions follow from Bragg's law for the DFT cell and can differ from measured ones.

Unit cell a=8.2342 b=26.5089 c=7.1312 alpha=90.00 beta=111.33 gamma=90.00
Element x y z (fractional)
Te  0.1485  0.2121  0.4834
Te  0.1485  0.2879  0.9834
Te  0.2818  0.6394  0.0815
Te  0.2818  0.8606  0.5815
Te  0.7182  0.1394  0.4185
Te  0.7182  0.3606  0.9185
Te  0.8515  0.7121  0.0166
Te  0.8515  0.7879  0.5166
Se  0.0425  0.7207  0.8045
Se  0.0425  0.7793  0.3045
Se  0.9575  0.2207  0.6955
Se  0.9575  0.2793  0.1955
I  0.3571  0.6008  0.7620
I  0.3571  0.8992  0.2620
I  0.4262  0.5452  0.3725
I  0.4262  0.9548  0.8725
I  0.4340  0.2093  0.2171
I  0.4340  0.2907  0.7171
I  0.5660  0.7093  0.2829
I  0.5660  0.7907  0.7829
I  0.5738  0.0452  0.1275
I  0.5738  0.4548  0.6275
I  0.6429  0.1008  0.7380
I  0.6429  0.3992  0.2380

The 8 most intense peaks (2θ from 10° to 90°), in order of rising 2θ:
2θ (°), I/Imax
11.54, 36
13.34, 38
15.30, 100
16.70, 53
25.31, 23
28.96, 65
29.24, 29
30.23, 33



Record 3
For Ho2Fe17C3, a GGA-PBE-relaxed structure gives the calculated PXRD pattern in this record (Cu Ka).
Peak positions follow from Bragg's law for the DFT cell and can differ from measured ones.

Unit cell a=8.6220 b=8.6220 c=8.3269 alpha=90.00 beta=90.00 gamma=120.00
Element x y z (fractional)
Ho  0.0000  0.0000  0.2500
Ho  0.0000  0.0000  0.7500
Ho  0.3333  0.6667  0.2500
Ho  0.6667  0.3333  0.7500
Fe  0.0000  0.5000  0.0000
Fe  0.0000  0.5000  0.5000
Fe  0.0523  0.3788  0.7500
Fe  0.0523  0.6735  0.7500
Fe  0.1681  0.3362  0.0202
Fe  0.1681  0.3362  0.4798
Fe  0.1681  0.8319  0.0202
Fe  0.1681  0.8319  0.4798
Fe  0.3265  0.3788  0.7500
Fe  0.3265  0.9477  0.7500
Fe  0.3333  0.6667  0.6074
Fe  0.3333  0.6667  0.8926
Fe  0.3362  0.1681  0.5202
Fe  0.3362  0.1681  0.9798
Fe  0.3788  0.0523  0.2500
Fe  0.3788  0.3265  0.2500
Fe  0.5000  0.0000  0.0000
Fe  0.5000  0.0000  0.5000
Fe  0.5000  0.5000  0.0000
Fe  0.5000  0.5000  0.5000
Fe  0.6212  0.6735  0.7500
Fe  0.6212  0.9477  0.7500
Fe  0.6638  0.8319  0.0202
Fe  0.6638  0.8319  0.4798
Fe  0.6667  0.3333  0.1074
Fe  0.6667  0.3333  0.3926
Fe  0.6735  0.0523  0.2500
Fe  0.6735  0.6212  0.2500
Fe  0.8319  0.1681  0.5202
Fe  0.8319  0.1681  0.9798
Fe  0.8319  0.6638  0.5202
Fe  0.8319  0.6638  0.9798
Fe  0.9477  0.3265  0.2500
Fe  0.9477  0.6212  0.2500
C  0.1655  0.3311  0.2500
C  0.1655  0.8345  0.2500
C  0.3311  0.1655  0.7500
C  0.6689  0.8345  0.2500
C  0.8345  0.1655  0.7500
C  0.8345  0.6689  0.7500

The 8 most intense peaks (2θ from 10° to 90°), in order of rising 2θ:
2θ (°), I/Imax
29.83, 46
36.09, 40
40.50, 37
41.91, 74
42.31, 100
43.47, 35
61.07, 22
61.97, 21



Record 4
For K2Se5S4, a GGA-PBE-relaxed structure gives the calculated PXRD pattern in this record (Cu Ka).
Peak positions follow from Bragg's law for the DFT cell and can differ from measured ones.

Unit cell a=6.3248 b=6.5390 c=9.6569 alpha=91.07 beta=99.00 gamma=108.27
Element x y z (fractional)
K  0.0000  0.0000  0.0000
K  0.3495  0.7514  0.5464
Se  0.3081  0.4663  0.2174
Se  0.3985  0.7184  0.0133
Se  0.6206  0.3793  0.1408
Se  0.6814  0.0973  0.2743
Se  0.9001  0.8243  0.6653
S  0.1767  0.4850  0.8284
S  0.2484  0.1758  0.3943
S  0.8697  0.5319  0.7879
S  0.9802  0.2403  0.4539

The 8 most intense peaks (2θ from 10° to 90°), in order of rising 2θ:
2θ (°), I/Imax
16.23, 62
17.64, 100
18.97, 37
24.40, 29
28.98, 38
29.65, 34
32.68, 74
33.37, 38



Record 5
For Mg3CdPt, a GGA-PBE-relaxed structure gives the calculated PXRD pattern in this record (Cu Ka).
Peak positions follow from Bragg's law for the DFT cell and can differ from measured ones.

Unit cell a=6.6251 b=6.6251 c=6.6251 alpha=90.00 beta=90.00 gamma=90.00
Element x y z (fractional)
Mg  0.0000  0.0000  0.0000
Mg  0.2733  0.2733  0.2733
Mg  0.2733  0.2733  0.7267
Mg  0.2733  0.7267  0.2733
Mg  0.2733  0.7267  0.7267
Mg  0.7267  0.2733  0.2733
Mg  0.7267  0.2733  0.7267
Mg  0.7267  0.7267  0.2733
Mg  0.7267  0.7267  0.7267
Cd  0.0000  0.0000  0.5000
Cd  0.0000  0.5000  0.0000
Cd  0.5000  0.0000  0.0000
Pt  0.0000  0.5000  0.5000
Pt  0.5000  0.0000  0.5000
Pt  0.5000  0.5000  0.0000

The 8 most intense peaks (2θ from 10° to 90°), in order of rising 2θ:
2θ (°), I/Imax
18.94, 35
26.92, 55
33.12, 19
38.43, 100
47.54, 17
55.48, 16
62.72, 23
69.51, 32



Record 6
For Cd2Pd6Pt, a GGA-PBE-relaxed structure gives the calculated PXRD pattern in this record (Cu Ka).
Peak positions follow from Bragg's law for the DFT cell and can differ from measured ones.

Unit cell a=8.4859 b=6.4703 c=6.1986 alpha=84.08 beta=49.32 gamma=46.60
Element x y z (fractional)
Cd  0.1621  0.1621  0.8379
Cd  0.8379  0.8379  0.1621
Pd  0.1652  0.5013  0.4987
Pd  0.1687  0.8313  0.1687
Pd  0.4987  0.8348  0.1652
Pd  0.5013  0.1652  0.8348
Pd  0.8313  0.1687  0.8313
Pd  0.8348  0.4987  0.5013
Pt  0.5000  0.5000  0.5000

The 8 most intense peaks (2θ from 10° to 90°), in order of rising 2θ:
2θ (°), I/Imax
38.80, 100
44.24, 17
44.54, 17
46.53, 15
64.58, 11
77.75, 13
78.18, 12
81.07, 11



Record 7
For DyOsC, a GGA-PBE-relaxed structure gives the calculated PXRD pattern in this record (Cu Ka).
Peak positions follow from Bragg's law for the DFT cell and can differ from measured ones.

Unit cell a=3.3754 b=3.3754 c=4.7953 alpha=90.00 beta=90.00 gamma=120.00
Element x y z (fractional)
Dy  0.0000  0.0000  0.0000
Os  0.6667  0.3333  0.5245
C  0.3333  0.6667  0.6597

The 8 most intense peaks (2θ from 10° to 90°), in order of rising 2θ:
2θ (°), I/Imax
30.58, 23
35.98, 100
37.51, 19
49.15, 15
54.36, 22
66.69, 16
66.93, 17
67.92, 21



Record 8
For AcSmUO6, a GGA-PBE-relaxed structure gives the calculated PXRD pattern in this record (Cu Ka).
Peak positions follow from Bragg's law for the DFT cell and can differ from measured ones.

Unit cell a=6.1344 b=6.1344 c=9.1867 alpha=90.00 beta=90.00 gamma=120.00
Element x y z (fractional)
Ac  0.3333  0.6667  0.2500
Ac  0.6667  0.3333  0.7500
Sm  0.0000  0.0000  0.0000
Sm  0.0000  0.0000  0.5000
U  0.3333  0.6667  0.7500
U  0.6667  0.3333  0.2500
O  0.0501  0.3652  0.6302
O  0.0501  0.6849  0.8698
O  0.3151  0.3652  0.8698
O  0.3151  0.9499  0.6302
O  0.3652  0.0501  0.1302
O  0.3652  0.3151  0.3698
O  0.6348  0.6849  0.6302
O  0.6348  0.9499  0.8698
O  0.6849  0.0501  0.3698
O  0.6849  0.6348  0.1302
O  0.9499  0.3151  0.1302
O  0.9499  0.6348  0.3698

The 8 most intense peaks (2θ from 10° to 90°), in order of rising 2θ:
2θ (°), I/Imax
19.32, 22
25.64, 100
29.11, 78
35.18, 30
39.19, 43
49.57, 84
51.61, 24
66.68, 29



Record 9
For Tl2V9CrS16, a GGA-PBE-relaxed structure gives the calculated PXRD pattern in this record (Cu Ka).
Peak positions follow from Bragg's law for the DFT cell and can differ from measured ones.

Unit cell a=8.5652 b=3.2925 c=17.4269 alpha=90.00 beta=103.89 gamma=90.00
Element x y z (fractional)
Tl  0.0000  0.0000  0.0000
Tl  0.5000  0.5000  0.5000
V  0.0000  0.0000  0.5000
V  0.1464  0.5000  0.2902
V  0.1506  0.5000  0.6469
V  0.3460  0.0000  0.8497
V  0.3544  0.0000  0.2099
V  0.6456  0.0000  0.7901
V  0.6540  0.0000  0.1503
V  0.8494  0.5000  0.3531
V  0.8536  0.5000  0.7098
Cr  0.5000  0.5000  0.0000
S  0.0808  0.0000  0.7399
S  0.1061  0.5000  0.4267
S  0.1627  0.5000  0.1605
S  0.2377  0.5000  0.9152
S  0.2651  0.0000  0.5852
S  0.3385  0.0000  0.3393
S  0.3978  0.0000  0.0724
S  0.4188  0.5000  0.7581
S  0.5812  0.5000  0.2419
S  0.6022  0.0000  0.9276
S  0.6615  0.0000  0.6607
S  0.7349  0.0000  0.4148
S  0.7623  0.5000  0.0848
S  0.8373  0.5000  0.8395
S  0.8939  0.5000  0.5733
S  0.9192  0.0000  0.2601

The 8 most intense peaks (2θ from 10° to 90°), in order of rising 2θ:
2θ (°), I/Imax
21.04, 91
21.42, 77
30.16, 40
33.66, 49
34.62, 100
36.00, 81
42.64, 75
54.91, 48



Record 10
For Cd7Ag4, a GGA-PBE-relaxed structure gives the calculated PXRD pattern in this record (Cu Ka).
Peak positions follow from Bragg's law for the DFT cell and can differ from measured ones.

Unit cell a=8.1506 b=8.1506 c=4.3810 alpha=90.00 beta=90.00 gamma=120.00
Element x y z (fractional)
Cd  0.0000  0.0000  0.0000
Cd  0.1905  0.3811  0.5000
Cd  0.1905  0.8095  0.5000
Cd  0.5309  0.0619  0.0000
Cd  0.5309  0.4691  0.0000
Cd  0.6189  0.8095  0.5000
Cd  0.9381  0.4691  0.0000
Ag  0.3333  0.6667  0.0000
Ag  0.4153  0.2077  0.5000
Ag  0.7923  0.2077  0.5000
Ag  0.7923  0.5847  0.5000

The 8 most intense peaks (2θ from 10° to 90°), in order of rising 2θ:
2θ (°), I/Imax
29.95, 24
32.58, 100
33.59, 38
39.55, 51
41.21, 30
43.67, 23
44.46, 30
62.22, 21



Record 11
For LiNdInSn, a GGA-PBE-relaxed structure gives the calculated PXRD pattern in this record (Cu Ka).
Peak positions follow from Bragg's law for the DFT cell and can differ from measured ones.

Unit cell a=4.5685 b=4.5940 c=4.7627 alpha=90.00 beta=90.00 gamma=90.00
Element x y z (fractional)
Li  0.0000  0.0000  0.0000
Nd  0.0000  0.5000  0.5000
In  0.5000  0.5000  0.0000
Sn  0.5000  0.0000  0.5000

The 8 most intense peaks (2θ from 10° to 90°), in order of rising 2θ:
2θ (°), I/Imax
18.63, 14
27.02, 15
33.45, 100
37.78, 18
39.22, 16
39.45, 16
65.47, 14
67.43, 13



Record 12
For Cs5USe5, a GGA-PBE-relaxed structure gives the calculated PXRD pattern in this record (Cu Ka).
Peak positions follow from Bragg's law for the DFT cell and can differ from measured ones.

Unit cell a=8.8500 b=8.8500 c=9.6844 alpha=109.43 beta=109.43 gamma=43.19
Element x y z (fractional)
Cs  0.0000  0.0000  0.0000
Cs  0.2995  0.2995  0.2030
Cs  0.3314  0.3314  0.6730
Cs  0.6686  0.6686  0.3270
Cs  0.7005  0.7005  0.7970
U  0.0000  0.0000  0.5000
Se  0.1262  0.1262  0.3789
Se  0.1270  0.1270  0.7779
Se  0.5000  0.5000  0.5000
Se  0.8730  0.8730  0.2221
Se  0.8738  0.8738  0.6211

The 8 most intense peaks (2θ from 10° to 90°), in order of rising 2θ:
2θ (°), I/Imax
14.77, 44
22.07, 54
22.92, 44
24.45, 68
26.20, 97
27.38, 100
37.04, 46
38.26, 69